For Fe2Pb3F12, the GGA+U geometry in Alexandria gives the computed X-ray powder pattern in this record (Cu Kα, 1.54184 Å).
Intensities are scaled so that the largest is 100.

Most intense lines, 2θ = 10–90°, in order of rising 2θ:
two_theta, intensity, h k l
25.03, 93, 0 2 0
25.23, 41, 0 2 -2
25.65, 41, 2 -1 0
25.85, 100, -2 1 1
27.15, 66, 1 1 -3
27.80, 100, 1 0 2
27.96, 69, 2 1 -1
28.39, 37, 1 0 -3
29.05, 73, 1 -2 2
45.02, 66, 3 1 -4

Cell and atoms:
```
34
Lattice="7.5323 0.0000 0.0000 -0.8753 7.7468 0.0000 -3.1039 -3.7801 8.7681" Properties=species:S:1:pos:R:3 pbc="T T T"
Fe -0.9685 0.4827 2.5516
Fe 2.0152 1.7969 0.5459
Fe 1.5379 2.1698 8.2222
Fe 4.5216 3.4840 6.2165
Pb -1.0174 -0.0568 6.1632
Pb 0.7329 5.5832 1.0636
Pb 0.6858 3.9535 4.6831
Pb 2.8672 0.0132 4.0850
Pb 2.8202 -1.6165 7.7044
Pb 4.5705 4.0236 2.6049
F -1.7649 4.4217 5.0323
F 0.1648 1.3551 1.1793
F -0.4634 4.1544 2.6150
F -1.5988 -2.9853 7.6488
F -1.6688 2.1662 6.7126
F -2.0255 -0.4209 8.4972
F -0.3515 1.4775 4.1064
F 0.4878 -0.7398 2.9264
F 2.6724 0.1718 1.3338
F 2.3949 2.7863 2.1532
F 1.5437 -1.5246 5.6122
F 0.4483 -1.3636 8.3434
F 3.1048 5.3303 0.4247
F 2.0094 5.4913 3.1559
F 1.1582 1.1805 6.6149
F 0.8807 3.7950 7.4343
F 3.0653 4.7065 5.8417
F 3.9046 2.4892 4.6617
F 5.5786 4.3876 0.2709
F 5.2219 1.8005 2.0554
F 5.1519 6.9520 1.1193
F 4.0165 -0.1877 6.1531
F 3.3882 2.6117 7.5887
F 5.3180 -0.4550 3.7357
```